Record 1
# Ca3Si6W7O15
Simulated powder X-ray diffraction pattern, Cu Ka. Input: DFT lattice parameters and positions (GGA+U).
Kinematic intensities with the Lorentz-polarization factor, no thermal factor.

Structural model:
```
31
Lattice="7.470 0.000 0.000 1.627 7.644 0.000 3.515 0.541 9.455" Properties=species:S:1:pos:R:3 pbc="T T T"
Ca 0.000 0.000 0.000
Ca 2.167 0.185 2.772
Ca 9.155 8.070 9.194
Si 3.639 5.445 4.996
Si 2.152 2.957 0.489
Si 5.812 5.184 2.575
Si 5.283 3.042 0.306
Si 8.998 5.187 2.679
Si 11.013 5.093 8.154
W 5.638 7.636 6.015
W 4.030 2.428 4.223
W 7.095 5.845 7.929
W 5.905 2.029 6.213
W 8.012 3.943 5.762
W 8.865 7.372 5.868
W 7.031 1.940 3.715
O 3.565 7.081 5.095
O 3.696 4.823 6.505
O 1.894 3.810 1.866
O 4.618 4.017 8.810
O 2.087 1.350 0.718
O 4.864 5.030 3.958
O 7.190 3.963 9.403
O 5.364 6.497 1.773
O 5.588 3.744 1.778
O 5.597 1.466 0.289
O 7.391 5.194 3.018
O 9.560 4.429 8.593
O 11.043 6.622 8.679
O 9.725 4.934 4.191
O 9.526 6.543 2.000
```

The 10 most intense peaks (2θ from 10° to 90°), sorted by position:
2θ (°)  I_rel
12.8  62
13.1  58
14.5  80
29.2  50
30.9  53
31.3  100
31.8  38
35.9  53
36.0  36
39.3  48

=====

Record 2
# Ca4Si6W5O17
Simulated powder X-ray diffraction pattern, Cu Ka. Input: DFT lattice parameters and positions (GGA+U).
Kinematic intensities with the Lorentz-polarization factor, no thermal factor.

Structural model:
```
32
Lattice="3.402 -11.626 0.000 3.402 11.626 0.000 -2.608 0.000 6.267" Properties=species:S:1:pos:R:3 pbc="T T T"
Ca 3.402 6.928 0.000
Ca 2.089 5.016 3.171
Ca 2.089 -5.016 3.171
Ca 3.402 -6.928 0.000
Si -0.950 1.586 5.152
Si 1.910 8.002 2.867
Si -0.950 -1.586 5.152
Si 3.552 3.738 0.255
Si 3.552 -3.738 0.255
Si 1.910 -8.002 2.867
W 0.348 0.000 1.542
W 1.821 1.759 3.399
W 1.821 -1.759 3.399
W 3.886 0.000 1.941
W 3.156 0.000 5.259
O 0.977 7.053 3.821
O 1.061 9.897 5.995
O 2.317 9.410 3.636
O 2.343 4.693 0.785
O -0.537 0.000 4.993
O 0.341 2.362 5.808
O 3.226 7.148 2.421
O 1.900 4.575 5.504
O 0.341 -2.362 5.808
O 2.343 -4.693 0.785
O 4.498 3.166 1.498
O 0.977 -7.053 3.821
O 1.900 -4.575 5.504
O 4.498 -3.166 1.498
O 3.226 -7.148 2.421
O 1.061 -9.897 5.995
O 2.317 -9.410 3.636
```

The 10 most intense peaks (2θ from 10° to 90°), sorted by position:
2θ (°)  I_rel
16.1  76
23.8  51
29.5  48
30.5  48
31.7  60
32.4  59
32.6  49
35.3  51
36.9  100
42.4  62

=====

Record 3
# CaSm4V4O12
Simulated powder X-ray diffraction pattern, Cu Ka. Input: DFT lattice parameters and positions (GGA+U).
Kinematic intensities with the Lorentz-polarization factor, no thermal factor.

Structural model:
```
21
Lattice="5.852 0.000 0.000 0.846 6.083 0.000 0.225 0.156 7.721" Properties=species:S:1:pos:R:3 pbc="T T T"
Ca 0.000 0.000 0.000
Sm 2.597 2.319 3.245
Sm 2.902 1.531 7.165
Sm 5.104 4.208 6.803
Sm 5.772 5.288 3.246
V 2.648 4.902 5.091
V 3.027 4.876 1.422
V 5.697 1.852 5.098
V 5.701 2.325 1.567
O 0.521 2.277 7.102
O 0.877 3.679 4.644
O 1.208 3.998 1.753
O 1.515 0.854 4.806
O 1.463 0.869 1.630
O 2.963 5.310 7.108
O 3.595 4.572 3.273
O 3.791 2.943 5.538
O 3.780 2.937 0.927
O 4.792 5.743 1.001
O 4.641 0.197 5.821
O 4.841 1.546 3.296
```

The 10 most intense peaks (2θ from 10° to 90°), sorted by position:
2θ (°)  I_rel
22.6  58
23.0  67
29.4  46
29.9  48
30.9  65
31.0  92
31.4  53
32.4  100
32.6  83
47.1  51

=====

Record 4
# CaSmV4O12
Simulated powder X-ray diffraction pattern, Cu Ka. Input: DFT lattice parameters and positions (GGA+U).
Kinematic intensities with the Lorentz-polarization factor, no thermal factor.

Structural model:
```
18
Lattice="3.760 -3.763 0.000 3.760 3.763 0.000 0.000 0.000 7.519" Properties=species:S:1:pos:R:3 pbc="T T T"
Ca 0.000 0.000 0.000
Sm 3.760 0.000 3.760
V 1.880 1.882 1.862
V 1.880 1.882 5.657
V 1.880 -1.882 1.862
V 1.880 -1.882 5.657
O 1.880 1.882 0.000
O 1.880 1.882 3.760
O 3.760 2.004 1.891
O 3.760 2.004 5.628
O 2.032 0.000 1.918
O 2.032 0.000 5.601
O 1.880 -1.882 0.000
O 1.880 -1.882 3.760
O 5.487 0.000 1.918
O 5.487 0.000 5.601
O 3.760 -2.004 1.891
O 3.760 -2.004 5.628
```

The 10 most intense peaks (2θ from 10° to 90°), sorted by position:
2θ (°)  I_rel
11.8  20
16.7  20
20.5  83
33.7  100
39.7  44
48.4  52
53.1  19
60.3  37
70.9  28
80.8  16

=====

Record 5
# CaZnSnWO6
Simulated powder X-ray diffraction pattern, Cu Ka. Input: DFT lattice parameters and positions (GGA+U).
Kinematic intensities with the Lorentz-polarization factor, no thermal factor.

Structural model:
```
10
Lattice="0.000 4.009 4.009 4.009 0.000 4.009 4.009 4.009 0.000" Properties=species:S:1:pos:R:3 pbc="T T T"
Ca 0.000 0.000 0.000
Zn 6.013 6.013 6.013
Sn 4.009 4.009 4.009
W 2.004 2.004 2.004
O 2.004 2.004 0.063
O 2.004 0.063 2.004
O 3.946 2.004 2.004
O 0.063 2.004 2.004
O 2.004 3.946 2.004
O 2.004 2.004 3.946
```

The 10 most intense peaks (2θ from 10° to 90°), sorted by position:
2θ (°)  I_rel
19.2  29
22.2  13
31.6  100
37.2  16
45.2  33
49.6  7
56.2  40
65.9  20
74.9  18
83.5  7

=====

Record 6
# SrCaTbVO6
Simulated powder X-ray diffraction pattern, Cu Ka. Input: DFT lattice parameters and positions (GGA+U).
Kinematic intensities with the Lorentz-polarization factor, no thermal factor.

Structural model:
```
10
Lattice="0.000 4.103 4.103 4.103 0.000 4.103 4.103 4.103 0.000" Properties=species:S:1:pos:R:3 pbc="T T T"
Sr 0.000 0.000 0.000
Ca 4.103 4.103 4.103
Tb 6.154 6.154 6.154
V 2.051 2.051 2.051
O 2.051 2.051 0.158
O 2.051 0.158 2.051
O 3.945 2.051 2.051
O 0.158 2.051 2.051
O 2.051 3.945 2.051
O 2.051 2.051 3.945
```

The 10 most intense peaks (2θ from 10° to 90°), sorted by position:
2θ (°)  I_rel
18.7  25
21.7  17
30.8  100
36.3  20
44.1  36
48.3  11
54.8  38
64.2  21
72.9  17
89.3  21

=====

Record 7
# Sr3CaV4O12
Simulated powder X-ray diffraction pattern, Cu Ka. Input: DFT lattice parameters and positions (GGA+U).
Kinematic intensities with the Lorentz-polarization factor, no thermal factor.

Structural model:
```
40
Lattice="5.521 -3.896 0.000 5.521 3.896 0.000 -5.473 0.000 11.017" Properties=species:S:1:pos:R:3 pbc="T T T"
Sr 2.760 1.948 0.000
Sr 0.034 1.958 8.257
Sr 5.535 1.958 2.761
Sr 2.760 -1.948 0.000
Sr 0.034 -1.958 8.257
Sr 5.535 -1.958 2.761
Ca 2.784 1.957 5.509
Ca 2.784 -1.957 5.509
V 0.000 0.000 0.000
V -2.702 0.000 8.228
V 0.023 0.000 5.504
V 2.794 0.000 2.798
V 5.521 0.000 0.000
V 2.775 0.000 8.219
V 5.546 0.000 5.514
V 8.271 0.000 2.789
O 0.024 1.948 5.509
O -4.150 0.000 9.673
O -1.359 0.000 4.109
O 2.792 1.944 2.831
O -1.378 0.000 6.823
O 1.362 0.000 1.350
O 5.521 1.975 0.000
O -1.420 0.000 9.577
O 1.409 0.000 4.108
O 2.777 1.944 8.187
O 4.111 0.000 1.418
O 1.422 0.000 6.830
O 0.024 -1.948 5.509
O 4.147 0.000 4.188
O 1.458 0.000 9.600
O 2.792 -1.944 2.831
O 4.160 0.000 6.909
O 6.989 0.000 1.441
O 5.521 -1.975 0.000
O 4.207 0.000 9.668
O 6.947 0.000 4.195
O 2.777 -1.944 8.187
O 6.928 0.000 6.909
O 9.719 0.000 1.344
```

The 10 most intense peaks (2θ from 10° to 90°), sorted by position:
2θ (°)  I_rel
32.5  100
40.1  17
46.5  14
46.7  28
57.9  12
58.0  18
58.1  6
67.9  12
68.1  12
77.5  7

=====

Record 8
# Sr3CaV4O12
Simulated powder X-ray diffraction pattern, Cu Ka. Input: DFT lattice parameters and positions (GGA+U).
Kinematic intensities with the Lorentz-polarization factor, no thermal factor.

Structural model:
```
20
Lattice="3.906 0.000 0.000 0.000 5.499 0.000 0.000 0.000 10.994" Properties=species:S:1:pos:R:3 pbc="T T T"
Sr 0.000 0.000 0.000
Sr 0.000 2.749 2.757
Sr 0.000 2.749 8.237
Ca 0.000 0.000 5.497
V 1.953 0.000 2.772
V 1.953 0.000 8.222
V 1.953 2.749 0.000
V 1.953 2.749 5.497
O 0.000 0.000 2.770
O 0.000 0.000 8.224
O 0.000 2.749 0.000
O 0.000 2.749 5.497
O 1.953 1.358 4.132
O 1.953 1.358 6.862
O 1.953 1.379 1.376
O 1.953 1.379 9.619
O 1.953 4.120 1.376
O 1.953 4.120 9.619
O 1.953 4.141 4.132
O 1.953 4.141 6.862
```

The 10 most intense peaks (2θ from 10° to 90°), sorted by position:
2θ (°)  I_rel
32.5  100
40.1  17
46.5  14
46.7  28
57.9  12
58.1  25
68.0  16
68.2  8
77.6  10
86.6  8

=====

Repeat the eighth record exactly.
# Sr3CaV4O12
Simulated powder X-ray diffraction pattern, Cu Ka. Input: DFT lattice parameters and positions (GGA+U).
Kinematic intensities with the Lorentz-polarization factor, no thermal factor.

Structural model:
```
20
Lattice="3.906 0.000 0.000 0.000 5.499 0.000 0.000 0.000 10.994" Properties=species:S:1:pos:R:3 pbc="T T T"
Sr 0.000 0.000 0.000
Sr 0.000 2.749 2.757
Sr 0.000 2.749 8.237
Ca 0.000 0.000 5.497
V 1.953 0.000 2.772
V 1.953 0.000 8.222
V 1.953 2.749 0.000
V 1.953 2.749 5.497
O 0.000 0.000 2.770
O 0.000 0.000 8.224
O 0.000 2.749 0.000
O 0.000 2.749 5.497
O 1.953 1.358 4.132
O 1.953 1.358 6.862
O 1.953 1.379 1.376
O 1.953 1.379 9.619
O 1.953 4.120 1.376
O 1.953 4.120 9.619
O 1.953 4.141 4.132
O 1.953 4.141 6.862
```

The 10 most intense peaks (2θ from 10° to 90°), sorted by position:
2θ (°)  I_rel
32.5  100
40.1  17
46.5  14
46.7  28
57.9  12
58.1  25
68.0  16
68.2  8
77.6  10
86.6  8